Entry 1:
Theoretical PXRD pattern
Compound: PmPrHo2Sb4
Radiation: Cu Kα, 1.54184 Å
Structure: DFT lattice parameters and positions (PBE)

Peak list (8 most intense, 2θ = 5–70°, by angle)
Position (°2θ), I/Imax, hkl
24.51, 3, 2 0 0
28.38, 100, 1 1 1
40.56, 76, 0 2 0
47.97, 2, 3 1 1
50.24, 27, 0 0 4
58.71, 13, 2 2 2
66.46, 29, 1 3 1
66.52, 6, 3 1 3

Cell and atoms:
a b c (Å): 7.6961 4.4520 7.7060
angles (deg): 90.00 109.50 90.00
Space group P2/m (No. 10)
Symmetry-distinct sites (fractional):
Pm 0.0000 0.0000 0.0000 x1
Pr 0.0000 0.5000 0.5000 x1
Ho 0.5000 0.0000 0.5000 x1
Ho 0.5000 0.5000 0.0000 x1
Sb 0.2596 0.5000 0.2515 x2
Sb 0.2609 0.0000 0.7554 x2

---

Entry 2:
Theoretical PXRD pattern
Compound: Pm4Pr2HoSc
Radiation: Cu Kα, 1.54184 Å
Structure: DFT lattice parameters and positions (PBE)

Peak list (8 most intense, 2θ = 5–70°, by angle)
Position (°2θ), I/Imax, hkl
30.39, 100, 1 1 2
35.11, 17, 0 2 0
35.29, 33, 2 0 0
50.64, 24, 2 2 0
50.77, 12, 2 0 4
60.09, 14, 1 3 2
60.31, 21, 3 1 2
63.23, 12, 2 2 4

Cell and atoms:
a b c (Å): 5.0896 5.1118 10.1645
angles (deg): 90.00 90.07 90.00
Space group P2/m (No. 10)
Symmetry-distinct sites (fractional):
Pm 0.9996 0.0000 0.2452 x2
Pm 0.4999 0.5000 0.2463 x2
Pr 0.0000 0.5000 0.0000 x1
Pr 0.5000 0.0000 0.5000 x1
Ho 0.0000 0.5000 0.5000 x1
Sc 0.5000 0.0000 0.0000 x1

---

Entry 3:
Theoretical PXRD pattern
Compound: PmPrSm2Ho4
Radiation: Cu Kα, 1.54184 Å
Structure: DFT lattice parameters and positions (PBE)

Peak list (8 most intense, 2θ = 5–70°, by angle)
Position (°2θ), I/Imax, hkl
26.83, 45, 0 0 4
30.16, 100, 2 2 0
40.80, 88, 2 2 4
53.54, 13, 2 6 0
60.91, 27, 4 0 4
62.76, 8, 4 4 0
64.28, 23, 2 2 8
69.51, 12, 4 4 4

Cell and atoms:
a b c (Å): 6.8344 11.8652 13.2918
angles (deg): 90.00 90.00 90.00
Space group Imma (No. 74)
Symmetry-distinct sites (fractional):
Pm 0.2500 0.2500 0.2500 x4
Pr 0.0000 0.0000 0.0000 x4
Sm 0.0000 0.0000 0.5000 x4
Sm 0.2500 0.2500 0.7500 x4
Ho 0.0000 0.9996 0.2506 x8
Ho 0.2489 0.2500 0.5004 x8

---

Entry 4:
Theoretical PXRD pattern
Compound: Pm2PrSmHo
Radiation: Cu Kα, 1.54184 Å
Structure: DFT lattice parameters and positions (PBE)

Peak list (8 most intense, 2θ = 5–70°, by angle)
Position (°2θ), I/Imax, hkl
28.23, 88, 2 1 -1
28.43, 64, 0 0 2
28.99, 94, 1 2 0
29.57, 100, 2 1 1
32.07, 56, 1 2 -1
32.71, 78, 1 2 1
33.93, 48, 1 1 2
44.12, 42, 3 1 -2

Cell and atoms:
a b c (Å): 8.4196 6.6215 6.2908
angles (deg): 90.00 93.62 90.00
Space group P2/c (No. 13)
Symmetry-distinct sites (fractional):
Pm 0.1896 0.1912 0.2707 x4
Pr 0.5000 0.5000 0.0000 x2
Sm 0.5000 0.0671 0.7500 x2
Ho 0.0000 0.3363 0.7500 x2